Entry 1:
Calculated powder diffractogram
Compound: I2Br
Radiation: Cu Kα, 1.54184 Å
Structure: a structure optimized by DFT (PBE)

Top 10 peaks for 2θ from 5° to 70°, low angle first:
- hkl 0 1 0, 13.2 deg, intensity 93
- hkl 1 0 0, 13.7 deg, intensity 100
- hkl 1 0 1, 18.0 deg, intensity 90
- hkl 0 1 1, 18.2 deg, intensity 82
- hkl 1 -1 0, 18.8 deg, intensity 38
- hkl 1 1 -1, 20.7 deg, intensity 46
- hkl 1 1 -2, 26.9 deg, intensity 79
- hkl 0 2 1, 30.1 deg, intensity 74
- hkl 2 0 1, 30.3 deg, intensity 68
- hkl -3 1 2, 48.9 deg, intensity 38

Structure:
Unit cell a=6.4903 b=6.7841 c=8.3406 alpha=98.02 beta=93.61 gamma=90.67
Space group P1 (No. 1)
Symmetry-distinct sites (fractional):
I: 0.0000 0.0000 0.0000 (multiplicity 1)
I: 0.0899 0.5896 0.7453 (multiplicity 1)
I: 0.2521 0.7810 0.4461 (multiplicity 1)
I: 0.4103 0.9185 0.1724 (multiplicity 1)
Br: 0.1564 0.2351 0.5973 (multiplicity 1)
Br: 0.6380 0.0777 0.8632 (multiplicity 1)

Entry 2:
Calculated powder diffractogram
Compound: IBr
Radiation: Cu Kα, 1.54184 Å
Structure: a structure optimized by DFT (PBE)

Top 10 peaks for 2θ from 5° to 70°, low angle first:
- hkl 1 0 2, 19.6 deg, intensity 23
- hkl 0 2 0, 20.2 deg, intensity 98
- hkl 1 1 2, 22.1 deg, intensity 31
- hkl 2 1 2, 28.3 deg, intensity 100
- hkl 3 1 2, 36.6 deg, intensity 19
- hkl 2 3 2, 40.8 deg, intensity 35
- hkl 0 4 0, 41.1 deg, intensity 30
- hkl 2 1 4, 41.3 deg, intensity 47
- hkl 4 2 0, 46.2 deg, intensity 21
- hkl 2 3 4, 51.0 deg, intensity 24

Structure:
Unit cell a=8.7772 b=8.7936 c=10.5400 alpha=90.00 beta=90.00 gamma=90.00
Space group Pnma (No. 62)
Symmetry-distinct sites (fractional):
I: 0.1223 0.2500 0.2495 (multiplicity 4)
I: 0.1316 0.7500 0.4091 (multiplicity 4)
Br: 0.1178 0.2500 0.7494 (multiplicity 4)
Br: 0.1281 0.7500 0.9046 (multiplicity 4)

Entry 3:
Calculated powder diffractogram
Compound: I2Br
Radiation: Cu Kα, 1.54184 Å
Structure: a structure optimized by DFT (PBE)

Top 10 peaks for 2θ from 5° to 70°, low angle first:
- hkl 0 1 0, 16.0 deg, intensity 42
- hkl 1 0 -1, 17.9 deg, intensity 34
- hkl 1 0 0, 18.0 deg, intensity 97
- hkl -1 1 1, 19.3 deg, intensity 86
- hkl 0 1 -2, 20.3 deg, intensity 100
- hkl -1 1 2, 22.9 deg, intensity 30
- hkl 0 1 -3, 25.8 deg, intensity 54
- hkl -1 1 3, 28.1 deg, intensity 29
- hkl 0 2 2, 37.9 deg, intensity 35
- hkl -2 2 2, 39.2 deg, intensity 43

Structure:
Unit cell a=5.5012 b=6.1267 c=12.0559 alpha=93.86 beta=100.29 gamma=113.44
Space group P1 (No. 1)
Symmetry-distinct sites (fractional):
I: 0.0000 0.0000 0.0000 (multiplicity 1)
I: 0.0472 0.6612 0.8405 (multiplicity 1)
I: 0.4165 0.6404 0.2919 (multiplicity 1)
I: 0.9103 0.0021 0.4313 (multiplicity 1)
Br: 0.9205 0.3116 0.1559 (multiplicity 1)
Br: 0.9706 0.8301 0.6346 (multiplicity 1)

Entry 4:
Calculated powder diffractogram
Compound: I2Br
Radiation: Cu Kα, 1.54184 Å
Structure: a structure optimized by DFT (PBE)

Top 10 peaks for 2θ from 5° to 70°, low angle first:
- hkl 0 1 0, 14.8 deg, intensity 100
- hkl 0 1 -1, 19.1 deg, intensity 75
- hkl 1 0 -1, 19.5 deg, intensity 72
- hkl 1 1 1, 21.2 deg, intensity 69
- hkl 1 1 2, 24.4 deg, intensity 86
- hkl 1 0 -2, 25.9 deg, intensity 50
- hkl -1 1 2, 27.8 deg, intensity 39
- hkl 0 2 -1, 33.3 deg, intensity 37
- hkl 0 1 4, 36.2 deg, intensity 51
- hkl 2 0 -2, 39.6 deg, intensity 30

Structure:
Unit cell a=5.5842 b=6.1807 c=10.1862 alpha=75.92 beta=81.79 gamma=87.05
Space group P1 (No. 1)
Symmetry-distinct sites (fractional):
I: 0.0000 0.0000 0.0000 (multiplicity 1)
I: 0.0766 0.7996 0.5842 (multiplicity 1)
I: 0.4169 0.7365 0.3382 (multiplicity 1)
I: 0.7338 0.8513 0.8138 (multiplicity 1)
Br: 0.2280 0.1491 0.1825 (multiplicity 1)
Br: 0.6081 0.3638 0.4596 (multiplicity 1)

Entry 5:
Calculated powder diffractogram
Compound: I2Br3
Radiation: Cu Kα, 1.54184 Å
Structure: a structure optimized by DFT (PBE)

Top 10 peaks for 2θ from 5° to 70°, low angle first:
- hkl 0 1 -1, 17.1 deg, intensity 13
- hkl 1 0 -1, 19.9 deg, intensity 100
- hkl 1 0 1, 22.8 deg, intensity 18
- hkl 1 0 2, 29.8 deg, intensity 28
- hkl 0 0 3, 30.1 deg, intensity 20
- hkl 0 2 -1, 32.5 deg, intensity 24
- hkl 1 -2 0, 34.8 deg, intensity 20
- hkl 2 0 -2, 40.5 deg, intensity 13
- hkl 1 2 -2, 41.7 deg, intensity 11
- hkl 1 2 1, 46.2 deg, intensity 12

Structure:
Unit cell a=4.8313 b=5.6211 c=9.2500 alpha=102.40 beta=96.69 gamma=100.51
Space group P-1 (No. 2)
Symmetry-distinct sites (fractional):
I: 0.1942 0.3506 0.2130 (multiplicity 2)
Br: 0.2378 0.8443 0.1753 (multiplicity 2)
Br: 0.5000 0.5000 0.5000 (multiplicity 1)

Entry 6:
Calculated powder diffractogram
Compound: I3Br5
Radiation: Cu Kα, 1.54184 Å
Structure: a structure optimized by DFT (PBE)

Top 10 peaks for 2θ from 5° to 70°, low angle first:
- hkl 0 2 0, 15.1 deg, intensity 22
- hkl 0 2 2, 15.6 deg, intensity 49
- hkl 0 1 -2, 16.2 deg, intensity 21
- hkl 0 0 3, 17.8 deg, intensity 100
- hkl 0 2 -1, 18.1 deg, intensity 30
- hkl 1 1 0, 20.3 deg, intensity 42
- hkl 0 1 -3, 21.7 deg, intensity 26
- hkl 1 1 3, 25.4 deg, intensity 23
- hkl 1 3 2, 27.1 deg, intensity 47
- hkl 1 1 -5, 38.5 deg, intensity 27

Structure:
Unit cell a=4.4831 b=12.7141 c=15.9813 alpha=69.15 beta=87.04 gamma=80.06
Space group P1 (No. 1)
Symmetry-distinct sites (fractional):
I: 0.0000 0.0000 0.0000 (multiplicity 1)
I: 0.0187 0.8880 0.5926 (multiplicity 1)
I: 0.4749 0.4099 0.5649 (multiplicity 1)
I: 0.6877 0.2817 0.2043 (multiplicity 1)
I: 0.7109 0.5162 0.9026 (multiplicity 1)
I: 0.9679 0.1153 0.8194 (multiplicity 1)
Br: 0.0041 0.5726 0.5258 (multiplicity 1)
Br: 0.0441 0.8677 0.2165 (multiplicity 1)
Br: 0.0473 0.6394 0.9491 (multiplicity 1)
Br: 0.3314 0.6750 0.2230 (multiplicity 1)
Br: 0.3724 0.3919 0.8569 (multiplicity 1)
Br: 0.3949 0.4553 0.2525 (multiplicity 1)
Br: 0.4613 0.8550 0.4827 (multiplicity 1)
Br: 0.5743 0.9227 0.7011 (multiplicity 1)
Br: 0.9537 0.0643 0.2528 (multiplicity 1)
Br: 0.9553 0.2390 0.6062 (multiplicity 1)